This entry pairs a crystal structure of Ca2Pr5Nd6 with its computed powder diffractogram. Radiation: Cu Kα, 1.54184 Å. Structure: a structure optimized by DFT (GGA-PBE).
Intensities are scaled so that the largest is 100.

Top 12 peaks for 10 to 90 degrees two-theta, most intense first:
Position (°2θ)	intensity
30.52	100
31.13	80
29.31	51
28.39	44
33.13	43
33.52	33
29.66	23
35.23	22
49.82	21
31.71	21
14.98	19
59.54	19

Structure:
Cell lengths 12.3172, 21.1324, 3.6606 Å; angles 90.00, 90.00, 90.00 degrees
Fractional coordinates of all 26 atoms:
Ca1 0.1649 0.2158 0.0000
Ca2 0.3351 0.7158 0.0000
Ca3 0.6649 0.2842 0.0000
Ca4 0.8351 0.7842 0.0000
Pr1 0.0000 0.5000 0.5000
Pr2 0.0950 0.7808 0.5000
Pr3 0.2078 0.0524 0.5000
Pr4 0.2922 0.5524 0.5000
Pr5 0.4050 0.2808 0.5000
Pr6 0.5000 0.0000 0.5000
Pr7 0.5950 0.7192 0.5000
Pr8 0.7078 0.4476 0.5000
Pr9 0.7922 0.9476 0.5000
Pr10 0.9050 0.2192 0.5000
Nd1 0.0537 0.9235 0.0000
Nd2 0.0703 0.6385 0.0000
Nd3 0.1862 0.3779 0.5000
Nd4 0.3138 0.8779 0.5000
Nd5 0.4297 0.1385 0.0000
Nd6 0.4463 0.4235 0.0000
Nd7 0.5537 0.5765 0.0000
Nd8 0.5703 0.8615 0.0000
Nd9 0.6862 0.1221 0.5000
Nd10 0.8138 0.6221 0.5000
Nd11 0.9297 0.3615 0.0000
Nd12 0.9463 0.0765 0.0000

---

This entry pairs a crystal structure of CaPr7Nd3 with its computed powder diffractogram. Radiation: Cu Kα, 1.54184 Å. Structure: a structure optimized by DFT (GGA-PBE).
Intensities are scaled so that the largest is 100.

Top 12 peaks for 10 to 90 degrees two-theta, most intense first:
Position (°2θ)	intensity
30.23	100
29.64	66
36.18	65
29.81	58
31.75	47
48.77	26
49.00	24
55.63	18
13.29	16
61.66	16
61.76	14
60.93	14

Structure:
Cell lengths 7.9543, 7.9543, 6.6833 Å; angles 93.43, 93.43, 81.79 degrees
Fractional coordinates of all 11 atoms:
Ca1 0.0000 0.0000 0.0000
Pr1 0.0000 0.0000 0.5000
Pr2 0.0725 0.4177 0.7559
Pr3 0.2659 0.2659 0.2915
Pr4 0.4177 0.0725 0.7559
Pr5 0.5823 0.9275 0.2441
Pr6 0.7341 0.7341 0.7085
Pr7 0.9275 0.5823 0.2441
Nd1 0.3297 0.6703 0.5000
Nd2 0.5000 0.5000 0.0000
Nd3 0.6703 0.3297 0.5000